Simulated X-ray powder pattern
Compound: LiMn3B3O9
Radiation: Cu Kα
Structure: a DFT-relaxed cell (PBE+U, Alexandria)
Intensities are scaled so that the largest is 100.

Principal peaks in the range 10 to 90 degrees two-theta, by intensity:
| two_theta | d (Å) | intensity | hkl |
| --- | --- | --- | --- |
| 22.36 | 3.977 | 100.0 | 1 0 -1 |
| 19.48 | 4.557 | 61.7 | 1 1 1 |
| 35.05 | 2.560 | 44.8 | 0 2 -2 |
| 33.30 | 2.690 | 28.6 | 2 0 1 |
| 20.33 | 4.368 | 20.6 | 1 -1 0 |
| 37.05 | 2.427 | 20.4 | 1 3 2 |
| 53.83 | 1.703 | 19.8 | 1 4 4 |
| 20.85 | 4.261 | 18.7 | 0 1 2 |
| 41.34 | 2.184 | 17.1 | 2 -2 0 |
| 39.57 | 2.278 | 16.8 | 2 1 3 |
| 34.46 | 2.603 | 15.5 | -1 2 2 |
| 40.12 | 2.247 | 13.6 | 0 3 3 |

Structural model:
a b c (Å): 5.390 8.133 9.229
angles (deg): 74.15 73.85 87.00
Atoms (fractional coordinates):
Li: 0.000 0.000 0.000
Li: 0.325 0.327 0.339
Mn: 0.143 0.750 0.804
Mn: 0.164 0.354 0.923
Mn: 0.452 0.083 0.149
Mn: 0.482 0.678 0.250
Mn: 0.761 0.425 0.488
Mn: 0.835 0.017 0.588
B: 0.055 0.562 0.149
B: 0.204 0.515 0.587
B: 0.421 0.909 0.477
B: 0.550 0.874 0.917
B: 0.735 0.231 0.819
B: 0.876 0.174 0.265
O: 0.012 0.575 0.001
O: 0.068 0.132 0.147
O: 0.210 0.922 0.601
O: 0.265 0.558 0.710
O: 0.289 0.524 0.173
O: 0.296 0.876 0.915
O: 0.367 0.896 0.340
O: 0.396 0.456 0.478
O: 0.517 0.244 0.941
O: 0.617 0.895 0.047
O: 0.628 0.205 0.252
O: 0.668 0.902 0.485
O: 0.691 0.228 0.676
O: 0.756 0.855 0.793
O: 0.838 0.574 0.270
O: 0.947 0.205 0.393
O: 0.963 0.539 0.569
O: 0.972 0.206 0.841